(1)
For Fe2SiO4, a structure optimized by DFT (GGA+U) gives the calculated powder diffractogram in this record (Cu Kα X-rays).

Structural model:
```
Fe2SiO4
1.0
5.8856 0.0000 0.0000
-2.9428 5.0971 0.0000
0.0000 0.0000 14.8968
Fe Si O
12 6 24
Direct
0.0000 0.0000 0.0000 Fe
0.0000 0.0000 0.3604 Fe
0.0019 0.5009 0.8656 Fe
0.1677 0.3355 0.5245 Fe
0.1677 0.8323 0.5245 Fe
0.3357 0.1678 0.2013 Fe
0.4991 0.5009 0.8656 Fe
0.4991 0.9981 0.8656 Fe
0.6645 0.8323 0.5245 Fe
0.6667 0.3333 0.6643 Fe
0.8322 0.1678 0.2013 Fe
0.8322 0.6643 0.2013 Fe
0.0000 0.0000 0.7286 Si
0.3333 0.6667 0.0682 Si
0.3333 0.6667 0.3239 Si
0.3333 0.6667 0.6803 Si
0.6667 0.3333 0.0180 Si
0.6667 0.3333 0.4040 Si
0.0000 0.0000 0.1333 O
0.0000 0.0000 0.6180 O
0.0126 0.5063 0.1044 O
0.0476 0.5238 0.6194 O
0.1618 0.3237 0.7668 O
0.1618 0.8382 0.7668 O
0.1796 0.3592 0.2864 O
0.1796 0.8204 0.2864 O
0.3333 0.6667 0.4350 O
0.3333 0.6667 0.9550 O
0.3591 0.1795 0.4427 O
0.3768 0.1884 0.9620 O
0.4762 0.5238 0.6194 O
0.4762 0.9524 0.6194 O
0.4937 0.5063 0.1044 O
0.4937 0.9874 0.1044 O
0.6408 0.8204 0.2864 O
0.6667 0.3333 0.2905 O
0.6667 0.3333 0.7955 O
0.6763 0.8382 0.7668 O
0.8116 0.1884 0.9620 O
0.8116 0.6232 0.9620 O
0.8205 0.1795 0.4427 O
0.8205 0.6409 0.4427 O
```

Top 8 peaks for 2θ from 10° to 90°, by angle:
index, Position (°2θ), d [Å], Rel. int.
0 1 1, 18.40, 4.823, 31
0 1 4, 29.71, 3.007, 34
1 0 5, 34.88, 2.572, 47
1 1 3, 35.46, 2.532, 100
2 0 1, 35.74, 2.512, 80
2 0 4, 43.00, 2.103, 79
0 2 8, 61.69, 1.504, 51
2 2 0, 63.19, 1.471, 53


(2)
For Fe4SiO9, a structure optimized by DFT (GGA+U) gives the calculated powder diffractogram in this record (Cu Kα X-rays).

Structural model:
```
Fe4SiO9
1.0
5.3294 0.0000 0.0000
-2.6647 4.6154 0.0000
0.0000 0.0000 23.4320
Fe Si O
12 3 27
Direct
0.1070 0.8844 0.0000 Fe
0.1076 0.5510 0.6672 Fe
0.1092 0.5568 0.4655 Fe
0.1156 0.2226 0.3333 Fe
0.4432 0.5525 0.7988 Fe
0.4434 0.8924 0.3339 Fe
0.4475 0.8908 0.1321 Fe
0.4492 0.2264 0.6658 Fe
0.4490 0.5566 0.0006 Fe
0.7736 0.2228 0.9991 Fe
0.7772 0.5508 0.3324 Fe
0.7774 0.8930 0.6667 Fe
0.1098 0.8852 0.7927 Si
0.1148 0.2245 0.1260 Si
0.7755 0.8902 0.4594 Si
0.0407 0.1924 0.4829 O
0.1028 0.8867 0.2956 O
0.1100 0.8879 0.7200 O
0.1121 0.2221 0.0533 O
0.1133 0.2161 0.6289 O
0.1129 0.5523 0.3807 O
0.1297 0.5497 0.9636 O
0.1453 0.6172 0.8151 O
0.1517 0.9593 0.1496 O
0.3822 0.1896 0.8136 O
0.3828 0.5281 0.1484 O
0.4200 0.8703 0.6303 O
0.4252 0.2168 0.9627 O
0.4375 0.2061 0.3729 O
0.4394 0.8871 0.0474 O
0.4477 0.5606 0.7141 O
0.4503 0.5800 0.2969 O
0.4719 0.8547 0.4818 O
0.7686 0.5625 0.0395 O
0.7779 0.8900 0.3866 O
0.7832 0.2084 0.2960 O
0.7839 0.8972 0.9623 O
0.7916 0.5748 0.6294 O
0.7939 0.2314 0.7062 O
0.8074 0.6178 0.4803 O
0.8076 0.8483 0.8163 O
0.8104 0.1926 0.1470 O
```

Top 8 peaks for 2θ from 10° to 90°, by angle:
index, Position (°2θ), d [Å], Rel. int.
0 0 3, 11.33, 7.811, 100
0 0 6, 22.77, 3.905, 57
2 -1 1, 33.86, 2.648, 37
2 -1 4, 37.06, 2.426, 36
1 1 5, 38.88, 2.316, 19
2 -1 7, 43.40, 2.085, 22
2 -1 10, 51.97, 1.760, 20
3 0 0, 60.14, 1.538, 20